Li4V2P3O12: simulated PXRD pattern (Cu Kα X-rays), based on a crystal structure in Alexandria, relaxed with GGA+U.
No peak broadening, texture or thermal motion is included.

Peak list (6 most intense, 2θ from 15° to 90°, low angle first)
(hkl)  2θ (°)  Rel. int.
0 1 -1  19.42  92
-1 1 1  23.78  57
2 1 2  23.97  100
0 2 2  28.65  46
-1 1 2  31.10  34
1 2 -1  31.24  76

Atomic structure:
Cell lengths 8.4299, 8.4615, 9.1853 Å; angles 62.77, 62.80, 60.67 degrees
Positions (direct):
Li: 0.0810 0.3413 0.3563
Li: 0.2683 0.7589 0.9214
Li: 0.2723 0.9336 0.6064
Li: 0.3334 0.7336 0.3572
Li: 0.6666 0.2664 0.6428
Li: 0.7277 0.0664 0.3936
Li: 0.7317 0.2411 0.0786
Li: 0.9190 0.6587 0.6437
V: 0.1472 0.1499 0.0592
V: 0.3496 0.3528 0.4569
V: 0.6504 0.6472 0.5431
V: 0.8528 0.8501 0.9408
P: 0.0369 0.7594 0.2572
P: 0.2477 0.5432 0.7484
P: 0.4612 0.0497 0.2411
P: 0.5388 0.9503 0.7589
P: 0.7523 0.4568 0.2516
P: 0.9631 0.2406 0.7428
O: 0.0033 0.8181 0.0852
O: 0.1394 0.8852 0.2335
O: 0.1416 0.7403 0.7872
O: 0.1514 0.2025 0.5920
O: 0.1645 0.5479 0.2995
O: 0.1756 0.3938 0.9045
O: 0.1995 0.5715 0.5908
O: 0.2587 0.1608 0.2171
O: 0.3863 0.9914 0.9241
O: 0.4490 0.8642 0.3943
O: 0.4628 0.4913 0.7056
O: 0.4848 0.8285 0.7145
O: 0.5152 0.1715 0.2855
O: 0.5372 0.5087 0.2944
O: 0.5510 0.1358 0.6057
O: 0.6137 0.0086 0.0759
O: 0.7413 0.8392 0.7829
O: 0.8005 0.4285 0.4092
O: 0.8244 0.6062 0.0955
O: 0.8355 0.4521 0.7005
O: 0.8486 0.7975 0.4080
O: 0.8584 0.2597 0.2128
O: 0.8606 0.1148 0.7665
O: 0.9967 0.1819 0.9148